Simulated X-ray diffraction stick pattern
Compound: Ce2TePt
Radiation: λ = 1.5418 Å (Cu Kα)
Structure: a GGA-PBE-relaxed structure
Intensities are scaled so that the largest is 100.

Atomic structure:
```
Ce2TePt
1.0
4.167 0.000 0.000
0.000 6.238 0.000
0.000 0.000 8.925
Ce Te Pt
4 2 2
Direct
0.250 0.250 0.101 Ce
0.250 0.250 0.660 Ce
0.750 0.750 0.340 Ce
0.750 0.750 0.899 Ce
0.250 0.750 0.614 Te
0.750 0.250 0.386 Te
0.250 0.750 0.121 Pt
0.750 0.250 0.879 Pt
```

Largest 8 diffraction maxima, by angle, 2θ from 15° to 90°:
two_theta	d_spacing	I (rel.)	h k l
28.62	3.119	57	0 2 0
29.33	3.046	100	1 0 2
40.43	2.231	17	0 0 4
41.44	2.179	79	1 2 2
43.43	2.083	18	2 0 0
50.28	1.815	18	0 2 4
52.85	1.732	21	2 2 0
67.48	1.388	19	1 4 2